Simulated powder X-ray diffraction pattern
Compound: MnCdPd14
Radiation: Cu Kα, 1.54184 Å
Structure: a crystal structure in Alexandria, relaxed with PBE
No peak broadening, texture or thermal motion is included.

Top 6 peaks for 15° ≤ 2θ ≤ 90°, most intense first:
2θ 39.4, rel. 1000, hkl 2 0 2
2θ 45.8, rel. 484, hkl 2 2 0
2θ 66.7, rel. 304, hkl 4 0 0
2θ 80.3, rel. 238, hkl 4 2 2
2θ 80.4, rel. 119, hkl 2 0 6
2θ 84.7, rel. 105, hkl 4 0 4

Structural model:
```
16
Lattice="5.6095 0.0000 0.0000 0.0000 5.6095 0.0000 0.0000 0.0000 7.9190" Properties=species:S:1:pos:R:3 pbc="T T T"
Mn 0.0000 0.0000 0.0000
Cd 2.8048 2.8048 0.0000
Pd 0.0000 0.0000 3.9595
Pd 0.0000 2.8048 0.0000
Pd 0.0000 2.8048 3.9595
Pd 1.3844 1.3844 1.9767
Pd 1.3844 1.3844 5.9423
Pd 1.3844 4.2251 1.9767
Pd 1.3844 4.2251 5.9423
Pd 2.8048 0.0000 0.0000
Pd 2.8048 0.0000 3.9595
Pd 2.8048 2.8048 3.9595
Pd 4.2251 1.3844 1.9767
Pd 4.2251 1.3844 5.9423
Pd 4.2251 4.2251 1.9767
Pd 4.2251 4.2251 5.9423
```



Simulated powder X-ray diffraction pattern
Compound: Mn2CdPd3
Radiation: Cu Kα, 1.54184 Å
Structure: a crystal structure in Alexandria, relaxed with PBE
No peak broadening, texture or thermal motion is included.

Top 6 peaks for 15° ≤ 2θ ≤ 90°, most intense first:
2θ 39.6, rel. 1000, hkl 1 0 3
2θ 41.7, rel. 462, hkl 1 1 0
2θ 74.7, rel. 288, hkl 2 1 3
2θ 60.4, rel. 148, hkl 2 0 0
2θ 70.5, rel. 138, hkl 1 1 6
2θ 85.4, rel. 82, hkl 2 0 6

Structural model:
```
6
Lattice="3.0637 0.0000 0.0000 0.0000 3.0637 0.0000 0.0000 0.0000 10.1779" Properties=species:S:1:pos:R:3 pbc="T T T"
Mn 0.0000 0.0000 1.6103
Mn 0.0000 0.0000 8.5677
Cd 0.0000 0.0000 5.0890
Pd 1.5319 1.5319 0.0000
Pd 1.5319 1.5319 3.1765
Pd 1.5319 1.5319 7.0014
```



Simulated powder X-ray diffraction pattern
Compound: MnCdPt2
Radiation: Cu Kα, 1.54184 Å
Structure: a crystal structure in Alexandria, relaxed with PBE
No peak broadening, texture or thermal motion is included.

Top 6 peaks for 15° ≤ 2θ ≤ 90°, most intense first:
2θ 39.2, rel. 1000, hkl 1 1 0
2θ 38.8, rel. 994, hkl 0 1 2
2θ 42.6, rel. 382, hkl 1 0 -2
2θ 42.7, rel. 379, hkl 1 0 2
2θ 68.0, rel. 375, hkl 1 2 2
2θ 50.4, rel. 242, hkl 0 2 0

Structural model:
```
4
Lattice="2.9755 0.0000 0.0000 0.0000 3.6236 0.0000 -0.0152 0.0000 6.0526" Properties=species:S:1:pos:R:3 pbc="T T T"
Mn 0.0000 0.0000 0.0000
Cd -0.0076 0.0000 3.0263
Pt 1.4830 1.8118 1.4054
Pt 1.4773 1.8118 4.6472
```